# 1
Theoretical XRD peak list of BaNa4Pb for Cu Kα, 1.54184 Å, from the PBE geometry in Alexandria.
Neutral-atom scattering factors, no anomalous dispersion.

Cell and atoms:
a b c (Å): 5.9217 17.1938 9.2139
angles (deg): 90.00 90.00 90.00
Space group Cmcm (No. 63)
One atom of each set of equivalent atoms:
Ba  0.0000  0.1206  0.2500 x4
Na  0.0000  0.0953  0.7500 x4
Na  0.0000  0.2673  0.5763 x8
Na  0.0000  0.5000  0.0000 x4
Pb  0.0000  0.3301  0.2500 x4

The 6 most intense peaks (15° ≤ 2θ ≤ 90°), sorted by position:
index  2θ/deg  Rel. int.
1 1 1  18.54  100
0 0 2  19.27  40
0 4 2  28.40  28
2 0 0  30.18  27
1 5 1  31.62  37
1 1 3  33.27  41



# 2
Theoretical XRD peak list of Ba3NaPb6 for Cu Kα, 1.54184 Å, from the PBE geometry in Alexandria.
Neutral-atom scattering factors, no anomalous dispersion.

Cell and atoms:
a b c (Å): 13.9103 13.9103 13.3967
angles (deg): 90.00 90.00 120.00
Space group R-3c (No. 167, hexagonal axes)
One atom of each set of equivalent atoms:
Ba  0.0000  0.4451  0.2500 x18
Na  0.0000  0.0000  0.0000 x6
Pb  0.0844  0.2009  0.3333 x36

The 6 most intense peaks (15° ≤ 2θ ≤ 90°), sorted by position:
index  2θ/deg  Rel. int.
3 0 0  22.14  30
1 3 1  27.51  29
3 1 2  29.88  100
0 2 4  30.54  33
1 3 4  38.04  25
3 3 6  57.27  26



# 3
Theoretical XRD peak list of Ba2NaTl4Pb3 for Cu Kα, 1.54184 Å, from the PBE geometry in Alexandria.
Neutral-atom scattering factors, no anomalous dispersion.

Cell and atoms:
a b c (Å): 4.9913 4.9913 14.3343
angles (deg): 90.00 90.00 90.00
Space group P-4m2 (No. 115)
One atom of each set of equivalent atoms:
Ba  0.0000  0.5000  0.2381 x2
Na  0.0000  0.0000  0.5000 x1
Tl  0.0000  0.0000  0.0000 x1
Tl  0.0000  0.5000  0.6378 x2
Tl  0.5000  0.5000  0.0000 x1
Pb  0.0000  0.5000  0.8547 x2
Pb  0.5000  0.5000  0.5000 x1

The 6 most intense peaks (15° ≤ 2θ ≤ 90°), sorted by position:
index  2θ/deg  Rel. int.
1 0 1  18.83  38
1 0 3  25.81  47
1 1 2  28.18  100
1 1 4  35.71  60
2 0 0  35.99  69
1 0 5  36.13  50



# 4
Theoretical XRD peak list of Ba14Na6Pd3 for Cu Kα, 1.54184 Å, from the PBE geometry in Alexandria.
Neutral-atom scattering factors, no anomalous dispersion.

Cell and atoms:
a b c (Å): 12.8739 12.8739 8.1413
angles (deg): 90.00 90.00 120.00
Space group P3m1 (No. 156)
One atom of each set of equivalent atoms:
Ba  0.0000  0.0000  0.0000 x1
Ba  0.1023  0.5512  0.3439 x3
Ba  0.2178  0.4356  0.8202 x3
Ba  0.2492  0.1246  0.5812 x3
Ba  0.4173  0.2086  0.0849 x3
Ba  0.6667  0.3333  0.5084 x1
Na  0.1317  0.2635  0.2764 x3
Na  0.5353  0.0706  0.7840 x3
Pd  0.0000  0.0000  0.3888 x1
Pd  0.3333  0.6667  0.5813 x1
Pd  0.6667  0.3333  0.8970 x1

The 6 most intense peaks (15° ≤ 2θ ≤ 90°), sorted by position:
index  2θ/deg  Rel. int.
2 1 0  21.08  45
0 1 2  23.26  46
2 1 1  23.78  93
3 0 1  26.36  100
2 0 2  27.12  79
3 3 0  42.11  57



# 5
Theoretical XRD peak list of BaNa4Pd2 for Cu Kα, 1.54184 Å, from the PBE geometry in Alexandria.
Neutral-atom scattering factors, no anomalous dispersion.

Cell and atoms:
a b c (Å): 4.5709 4.5973 9.9006
angles (deg): 90.00 103.11 90.00
Space group P2/m (No. 10)
One atom of each set of equivalent atoms:
Ba  0.0000  0.0000  0.0000 x1
Na  0.1683  0.5000  0.3404 x2
Na  0.3338  0.0000  0.6635 x2
Pd  0.4317  0.5000  0.8617 x2

The 6 most intense peaks (15° ≤ 2θ ≤ 90°), sorted by position:
index  2θ/deg  Rel. int.
1 1 -1  27.91  100
1 1 1  30.90  81
0 1 3  34.03  38
0 2 0  39.19  25
2 0 -1  39.43  25
0 1 4  42.33  24



# 6
Theoretical XRD peak list of Ba6Na5Pd for Cu Kα, 1.54184 Å, from the PBE geometry in Alexandria.
Neutral-atom scattering factors, no anomalous dispersion.

Cell and atoms:
a b c (Å): 6.3888 10.8545 15.9976
angles (deg): 90.00 90.00 90.00
Space group Immm (No. 71)
One atom of each set of equivalent atoms:
Ba  0.0000  0.1774  0.0000 x4
Ba  0.0000  0.3051  0.3479 x8
Na  0.0000  0.0000  0.2254 x4
Na  0.0000  0.0000  0.5000 x2
Na  0.0000  0.5000  0.1291 x4
Pd  0.0000  0.5000  0.5000 x2

The 6 most intense peaks (15° ≤ 2θ ≤ 90°), sorted by position:
index  2θ/deg  Rel. int.
1 0 3  21.71  52
0 3 1  25.24  23
1 2 3  27.29  100
2 0 0  27.93  44
1 3 2  30.51  39
1 3 4  36.33  35



# 7
Theoretical XRD peak list of Ba9Na3Pd2 for Cu Kα, 1.54184 Å, from the PBE geometry in Alexandria.
Neutral-atom scattering factors, no anomalous dispersion.

Cell and atoms:
a b c (Å): 8.9363 8.9363 10.9236
angles (deg): 90.00 90.00 120.00
Space group P-3m1 (No. 164)
One atom of each set of equivalent atoms:
Ba  0.0000  0.5000  0.0000 x3
Ba  0.1685  0.3370  0.6671 x6
Na  0.0000  0.0000  0.0000 x1
Na  0.3333  0.6667  0.3356 x2
Pd  0.3333  0.6667  0.8296 x2

The 6 most intense peaks (15° ≤ 2θ ≤ 90°), sorted by position:
index  2θ/deg  Rel. int.
2 0 1  24.41  96
0 2 2  28.26  100
1 2 1  31.68  40
2 2 0  40.40  75
0 2 5  47.77  46
2 4 2  66.18  35



# 8
Theoretical XRD peak list of Ba6NaSr2Pd for Cu Kα, 1.54184 Å, from the PBE geometry in Alexandria.
Neutral-atom scattering factors, no anomalous dispersion.

Cell and atoms:
a b c (Å): 9.4609 13.3575 9.4295
angles (deg): 90.00 90.00 90.00
Space group Imm2 (No. 44)
One atom of each set of equivalent atoms:
Ba  0.0000  0.2349  0.0000 x4
Ba  0.2341  0.0000  0.7647 x4
Ba  0.2351  0.0000  0.2353 x4
Na  0.0000  0.5000  0.0005 x2
Sr  0.0000  0.2503  0.4999 x4
Pd  0.0000  0.0000  0.0002 x2

The 6 most intense peaks (15° ≤ 2θ ≤ 90°), sorted by position:
index  2θ/deg  Rel. int.
0 2 2  23.07  100
2 0 2  26.70  91
2 4 2  38.10  57
2 2 4  45.02  46
4 4 0  47.08  12
4 4 4  62.14  24



# 9
Theoretical XRD peak list of Ba4Na2Sr2Pd for Cu Kα, 1.54184 Å, from the PBE geometry in Alexandria.
Neutral-atom scattering factors, no anomalous dispersion.

Cell and atoms:
a b c (Å): 14.6400 8.8342 7.3622
angles (deg): 90.00 97.64 90.00
Space group C2/m (No. 12)
One atom of each set of equivalent atoms:
Ba  0.1013  0.2480  0.2970 x8
Na  0.1470  0.5000  0.7821 x4
Sr  0.1538  0.0000  0.8114 x4
Pd  0.0000  0.0000  0.5000 x2

The 6 most intense peaks (15° ≤ 2θ ≤ 90°), sorted by position:
index  2θ/deg  Rel. int.
2 0 1  18.36  36
2 2 -1  25.82  100
2 2 1  27.35  45
4 0 1  28.86  23
4 2 -1  32.99  31
6 2 0  42.63  25



# 10
Theoretical XRD peak list of Ba2NaPm for Cu Kα, 1.54184 Å, from the PBE geometry in Alexandria.
Neutral-atom scattering factors, no anomalous dispersion.

Cell and atoms:
a b c (Å): 4.0501 4.0501 11.6467
angles (deg): 90.00 90.00 90.00
Space group P4/mmm (No. 123)
One atom of each set of equivalent atoms:
Ba  0.0000  0.0000  0.2457 x2
Na  0.5000  0.5000  0.5000 x1
Pm  0.5000  0.5000  0.0000 x1

The 6 most intense peaks (15° ≤ 2θ ≤ 90°), sorted by position:
index  2θ/deg  Rel. int.
1 0 2  26.81  100
0 0 4  30.71  18
1 1 0  31.23  34
1 1 4  44.37  25
1 0 6  52.26  15
2 1 2  52.94  30



# 11
Theoretical XRD peak list of Ba9Na3Pt2 for Cu Kα, 1.54184 Å, from the PBE geometry in Alexandria.
Neutral-atom scattering factors, no anomalous dispersion.

Cell and atoms:
a b c (Å): 8.8918 8.8918 21.9534
angles (deg): 90.00 90.00 120.00
Space group P6_3/mmc (No. 194)
One atom of each set of equivalent atoms:
Ba  0.0065  0.5032  0.2500 x6
Ba  0.1698  0.3397  0.0838 x12
Na  0.0000  0.0000  0.2500 x2
Na  0.3333  0.6667  0.5806 x4
Pt  0.3333  0.6667  0.1635 x4

The 6 most intense peaks (15° ≤ 2θ ≤ 90°), sorted by position:
index  2θ/deg  Rel. int.
2 0 2  24.50  69
2 0 3  26.15  100
2 0 4  28.31  90
2 0 5  30.89  57
1 1 6  31.67  60
2 2 0  40.58  83



# 12
Theoretical XRD peak list of Ba7Na12Pt for Cu Kα, 1.54184 Å, from the PBE geometry in Alexandria.
Neutral-atom scattering factors, no anomalous dispersion.

Cell and atoms:
a b c (Å): 21.3111 21.3111 7.2502
angles (deg): 90.00 90.00 120.00
Space group R-3m (No. 166, hexagonal axes)
One atom of each set of equivalent atoms:
Ba  0.0000  0.0000  0.0000 x3
Ba  0.0787  0.1574  0.3025 x18
Na  0.0000  0.3980  0.0000 x18
Na  0.0894  0.5447  0.4671 x18
Pt  0.0000  0.0000  0.5000 x3

The 6 most intense peaks (15° ≤ 2θ ≤ 90°), sorted by position:
index  2θ/deg  Rel. int.
4 0 1  22.85  37
0 5 1  27.11  47
3 1 2  30.22  100
4 4 0  33.64  35
5 0 2  34.68  41
5 5 0  42.41  34